Starting from a GGA-PBE-relaxed structure, the powder X-ray diffraction pattern of TcPd3Cl9 was computed for copper Kα.
Peak positions follow from Bragg's law for the DFT cell and can differ from measured ones.

abc: 10.024 10.024 13.530
angles: 125.39 125.39 39.24
Fractional coordinates of all 26 atoms:
Tc 0.202 0.798 0.500
Tc 0.798 0.202 0.000
Pd 0.168 0.999 0.262
Pd 0.172 0.527 0.766
Pd 0.527 0.172 0.266
Pd 0.687 0.769 0.243
Pd 0.769 0.687 0.743
Pd 0.999 0.168 0.762
Cl 0.128 0.133 0.142
Cl 0.133 0.128 0.642
Cl 0.174 0.814 0.322
Cl 0.216 0.786 0.681
Cl 0.268 0.469 0.386
Cl 0.278 0.317 0.097
Cl 0.317 0.278 0.597
Cl 0.469 0.268 0.886
Cl 0.543 0.797 0.348
Cl 0.577 0.586 0.556
Cl 0.586 0.577 0.056
Cl 0.750 0.832 0.139
Cl 0.786 0.216 0.181
Cl 0.797 0.543 0.848
Cl 0.804 0.986 0.435
Cl 0.814 0.174 0.822
Cl 0.832 0.750 0.639
Cl 0.986 0.804 0.935

Principal peaks in the range 10 to 90 degrees two-theta, in order of rising 2θ:
d/Å	Rel. int.
6.709	69.0
5.335	39.9
4.817	100.0
4.695	32.0
4.413	41.1
3.995	45.5
3.725	20.3
3.088	19.1
3.067	28.0
2.633	31.2
2.236	44.0
2.207	16.0

---

Starting from a GGA-PBE-relaxed structure, the powder X-ray diffraction pattern of Te2PdCl10 was computed for copper Kα.
Peak positions follow from Bragg's law for the DFT cell and can differ from measured ones.

abc: 14.485 7.863 21.700
angles: 90.00 131.57 90.00
Fractional coordinates of all 52 atoms:
Te 0.192 0.068 0.453
Te 0.192 0.432 0.953
Te 0.268 0.595 0.209
Te 0.268 0.905 0.709
Te 0.732 0.095 0.291
Te 0.732 0.405 0.791
Te 0.808 0.568 0.047
Te 0.808 0.932 0.547
Pd 0.005 0.229 0.520
Pd 0.005 0.271 0.020
Pd 0.995 0.729 0.980
Pd 0.995 0.771 0.480
Cl 0.003 0.172 0.624
Cl 0.003 0.328 0.124
Cl 0.006 0.207 0.915
Cl 0.006 0.293 0.415
Cl 0.098 0.120 0.316
Cl 0.098 0.380 0.816
Cl 0.208 0.736 0.573
Cl 0.208 0.764 0.073
Cl 0.218 0.201 0.613
Cl 0.218 0.299 0.113
Cl 0.319 0.642 0.779
Cl 0.319 0.858 0.279
Cl 0.327 0.067 0.823
Cl 0.327 0.433 0.323
Cl 0.332 0.201 0.003
Cl 0.332 0.299 0.503
Cl 0.333 0.634 0.974
Cl 0.333 0.866 0.474
Cl 0.462 0.567 0.249
Cl 0.462 0.933 0.749
Cl 0.538 0.067 0.251
Cl 0.538 0.433 0.751
Cl 0.667 0.134 0.526
Cl 0.667 0.366 0.026
Cl 0.668 0.701 0.497
Cl 0.668 0.799 0.997
Cl 0.673 0.567 0.677
Cl 0.673 0.933 0.177
Cl 0.681 0.142 0.721
Cl 0.681 0.358 0.221
Cl 0.782 0.701 0.887
Cl 0.782 0.799 0.387
Cl 0.792 0.236 0.927
Cl 0.792 0.264 0.427
Cl 0.902 0.620 0.184
Cl 0.902 0.880 0.684
Cl 0.994 0.707 0.585
Cl 0.994 0.793 0.085
Cl 0.997 0.672 0.876
Cl 0.997 0.828 0.376

Principal peaks in the range 10 to 90 degrees two-theta, in order of rising 2θ:
d/Å	Rel. int.
7.077	100.0
6.911	55.8
6.353	29.6
5.256	41.0
5.069	96.2
4.622	41.7
3.695	36.2
3.540	26.0
3.222	25.9
3.179	35.5
2.560	34.8
2.545	33.4

---

Starting from a GGA-PBE-relaxed structure, the powder X-ray diffraction pattern of Te2Pd4Cl was computed for copper Kα.
Peak positions follow from Bragg's law for the DFT cell and can differ from measured ones.

abc: 7.362 7.362 7.362
angles: 114.77 114.77 99.32
Fractional coordinates of all 14 atoms:
Te 0.375 0.071 0.196
Te 0.821 0.125 0.196
Te 0.875 0.179 0.804
Te 0.929 0.625 0.804
Pd 0.067 0.917 0.703
Pd 0.083 0.933 0.297
Pd 0.114 0.317 0.650
Pd 0.214 0.364 0.297
Pd 0.536 0.333 0.650
Pd 0.636 0.786 0.703
Pd 0.667 0.464 0.350
Pd 0.683 0.886 0.350
Cl 0.250 0.750 0.500
Cl 0.500 0.500 0.000

Principal peaks in the range 10 to 90 degrees two-theta, in order of rising 2θ:
d/Å	Rel. int.
6.098	38.3
5.611	16.7
3.326	23.4
2.949	31.4
2.805	41.2
2.383	30.1
2.220	100.0
2.144	22.5
1.886	14.2
1.816	28.7
1.342	18.5
1.309	23.7